Calculated powder diffractogram of SrLaFeRuO6 for λ = 1.5418 Å (Cu Kα), from a GGA+U-relaxed structure.

Structure:
Lattice parameters (Å, degrees): 5.635 5.639 9.716 90.00 125.32 90.00
Space group Pc (No. 7)
Asymmetric unit:
Sr (0.000, 0.224, 0.000) x2
La (0.484, 0.285, 0.500) x2
Fe (0.744, 0.247, 0.250) x2
Ru (0.244, 0.249, 0.749) x2
O (0.013, 0.478, 0.788) x2
O (0.070, 0.031, 0.292) x2
O (0.434, 0.480, 0.210) x2
O (0.482, 0.032, 0.708) x2
O (0.560, 0.265, 0.999) x2
O (0.912, 0.241, 0.500) x2

Peak list (12 most intense, 2θ = 10–90°, sorted by position)
hkl 1 0 0, 2θ 19.32, d = 4.594 Å, I = 13; hkl 1 1 1, 2θ 31.78, d = 2.815 Å, I = 100; hkl 1 1 -3, 2θ 31.87, d = 2.808 Å, I = 51; hkl 2 0 -4, 2θ 39.22, d = 2.297 Å, I = 8; hkl 2 2 -2, 2θ 45.52, d = 1.993 Å, I = 30; hkl 0 0 4, 2θ 45.79, d = 1.982 Å, I = 15; hkl 3 1 -5, 2θ 56.62, d = 1.626 Å, I = 39; hkl 2 0 2, 2θ 56.77, d = 1.622 Å, I = 16; hkl 2 2 2, 2θ 66.49, d = 1.406 Å, I = 8; hkl 2 2 -6, 2θ 66.60, d = 1.404 Å, I = 8; hkl 3 3 -1, 2θ 75.42, d = 1.260 Å, I = 10; hkl 1 1 5, 2θ 75.87, d = 1.254 Å, I = 8